[1]
Diffraction record for MgSn3. The PXRD pattern is theoretical, not measured: it uses a PBE-relaxed structure and Cu Ka.

```
MgSn3
1.0
6.6987 0.0000 0.0000
-3.3493 5.8012 0.0000
0.0000 0.0000 5.3556
Mg Sn
2 6
direct
0.3333 0.6667 0.2500 Mg
0.6667 0.3333 0.7500 Mg
0.1706 0.3412 0.7500 Sn
0.1706 0.8294 0.7500 Sn
0.3412 0.1706 0.2500 Sn
0.6589 0.8294 0.7500 Sn
0.8294 0.1706 0.2500 Sn
0.8294 0.6589 0.2500 Sn
```

Main lines, sorted by position (5 to 70 degrees two-theta):
d_spacing, Rel. int.
3.935, 21
3.349, 8
2.901, 24
2.678, 25
2.551, 100
2.092, 5
2.029, 5
1.968, 16
1.675, 19
1.520, 21
1.420, 22
1.400, 16


[2]
Diffraction record for Zr4AuN. The PXRD pattern is theoretical, not measured: it uses a PBE-relaxed structure and Cu Ka.

```
Zr4AuN
1.0
6.8627 -2.7076 0.0000
6.8627 2.7076 0.0000
-1.7994 0.0000 6.1280
Zr Au N
8 2 2
direct
0.0569 0.1485 0.4362 Zr
0.1485 0.0569 0.9362 Zr
0.2508 0.3642 0.8243 Zr
0.3642 0.2508 0.3243 Zr
0.6358 0.7492 0.6757 Zr
0.7492 0.6358 0.1757 Zr
0.8515 0.9431 0.0638 Zr
0.9431 0.8515 0.5638 Zr
0.4232 0.5768 0.2500 Au
0.5768 0.4232 0.7500 Au
0.0000 0.5000 0.5000 N
0.5000 0.0000 0.0000 N
```

Main lines, sorted by position (5 to 70 degrees two-theta):
d_spacing, Rel. int.
6.585, 15
5.008, 17
2.736, 18
2.708, 36
2.645, 61
2.497, 100
2.410, 49
2.369, 87
1.892, 26
1.585, 15
1.569, 23
1.528, 17


[3]
Diffraction record for CsLiLaTe2. The PXRD pattern is theoretical, not measured: it uses a PBE-relaxed structure and Cu Ka.

```
CsLiLaTe2
1.0
3.4517 -8.4594 0.0000
3.4517 8.4594 0.0000
0.0000 0.0000 7.2002
Cs Li La Te
2 2 2 4
direct
0.2500 0.7500 0.7635 Cs
0.7500 0.2500 0.2365 Cs
0.0000 0.0000 0.0000 Li
0.5000 0.5000 0.0000 Li
0.2500 0.2500 0.5000 La
0.7500 0.7500 0.5000 La
0.1169 0.8831 0.2462 Te
0.3831 0.6169 0.2462 Te
0.6169 0.3831 0.7538 Te
0.8831 0.1169 0.7538 Te
```

Main lines, sorted by position (5 to 70 degrees two-theta):
d_spacing, Rel. int.
7.200, 13
5.483, 23
3.734, 100
3.313, 20
3.196, 17
2.799, 28
2.742, 13
2.492, 40
2.220, 13
2.103, 20
2.043, 19
1.612, 19


[4]
Diffraction record for Pm3Al2ZnPt9. The PXRD pattern is theoretical, not measured: it uses a PBE-relaxed structure and Cu Ka.

```
Pm3Al2ZnPt9
1.0
5.6766 0.0000 0.0000
-2.8383 4.9161 0.0000
0.0000 0.0000 11.5402
Pm Al Zn Pt
3 2 1 9
direct
0.0000 0.0000 0.0000 Pm
0.3333 0.6667 0.7562 Pm
0.6667 0.3333 0.2438 Pm
0.3333 0.6667 0.1667 Al
0.6667 0.3333 0.8333 Al
0.0000 0.0000 0.5000 Zn
0.0000 0.5000 0.0000 Pt
0.1660 0.3319 0.3272 Pt
0.1660 0.8340 0.3272 Pt
0.3319 0.1660 0.6728 Pt
0.5000 0.0000 0.0000 Pt
0.5000 0.5000 0.0000 Pt
0.6681 0.8340 0.3272 Pt
0.8340 0.1660 0.6728 Pt
0.8340 0.6681 0.6728 Pt
```

Main lines, sorted by position (5 to 70 degrees two-theta):
d_spacing, Rel. int.
4.523, 14
3.847, 82
3.742, 11
2.404, 100
2.284, 15
2.261, 98
2.089, 12
1.923, 12
1.871, 39
1.683, 20
1.419, 25
1.369, 10


[5]
Diffraction record for Tb3Nd3ScTe8. The PXRD pattern is theoretical, not measured: it uses a PBE-relaxed structure and Cu Ka.

```
Tb3Nd3ScTe8
1.0
4.3944 2.5371 7.2449
-4.3944 2.5371 7.2449
0.0000 -5.0742 7.2449
Tb Nd Sc Te
3 3 1 8
direct
0.0000 0.5000 0.5000 Tb
0.5000 0.0000 0.5000 Tb
0.5000 0.5000 0.0000 Tb
0.0000 0.0000 0.5000 Nd
0.0000 0.5000 0.0000 Nd
0.5000 0.0000 0.0000 Nd
0.0000 0.0000 0.0000 Sc
0.2445 0.2445 0.7490 Te
0.2445 0.7490 0.2445 Te
0.2510 0.7555 0.7555 Te
0.2533 0.2533 0.2533 Te
0.7467 0.7467 0.7467 Te
0.7490 0.2445 0.2445 Te
0.7555 0.2510 0.7555 Te
0.7555 0.7555 0.2510 Te
```

Main lines, sorted by position (5 to 70 degrees two-theta):
d_spacing, Rel. int.
6.234, 9
4.422, 4
4.394, 4
3.117, 100
2.541, 3
2.211, 38
2.197, 38
1.811, 7
1.796, 20
1.559, 12
1.398, 17
1.391, 17


[6]
Diffraction record for TaV12Mo6. The PXRD pattern is theoretical, not measured: it uses a PBE-relaxed structure and Cu Ka.

```
TaV12Mo6
1.0
3.3673 -7.1649 0.0000
3.3673 7.1649 0.0000
-0.7389 0.0000 5.8735
Ta V Mo
1 12 6
direct
0.0000 0.0000 0.0000 Ta
0.0696 0.9304 0.5000 V
0.1795 0.4894 0.0730 V
0.1888 0.5077 0.5719 V
0.3395 0.3395 0.3374 V
0.4894 0.1795 0.0730 V
0.4923 0.8112 0.4281 V
0.5077 0.1888 0.5719 V
0.5106 0.8205 0.9270 V
0.6605 0.6605 0.6626 V
0.8112 0.4923 0.4281 V
0.8205 0.5106 0.9270 V
0.9304 0.0696 0.5000 V
0.1741 0.7780 0.2349 Mo
0.2220 0.8259 0.7651 Mo
0.3372 0.3372 0.8257 Mo
0.6628 0.6628 0.1743 Mo
0.7780 0.1741 0.2349 Mo
0.8259 0.2220 0.7651 Mo
```

Main lines, sorted by position (5 to 70 degrees two-theta):
d_spacing, Rel. int.
6.056, 10
3.341, 13
2.388, 34
2.360, 15
2.265, 100
2.238, 67
2.201, 51
1.969, 17
1.957, 13
1.759, 23
1.465, 14
1.355, 16